(1)
Diffraction record for NdTi4SnO12. The XRD peak list is simulated, not measured: it uses a GGA-PBE-relaxed structure and Cu Kα, 1.54184 Å.
Peak positions follow from Bragg's law for the DFT cell and can differ from measured ones.

The 10 most intense peaks (10 to 90 degrees two-theta), sorted by position:
| Position (°2θ) | d/Å | Rel. int. |
| --- | --- | --- |
| 20.11 | 4.416 | 100 |
| 32.93 | 2.720 | 56 |
| 33.50 | 2.675 | 29 |
| 38.39 | 2.345 | 17 |
| 39.33 | 2.291 | 17 |
| 39.43 | 2.285 | 11 |
| 46.42 | 1.956 | 13 |
| 51.85 | 1.763 | 14 |
| 58.45 | 1.579 | 13 |
| 59.48 | 1.554 | 13 |

Structure:
```
NdTi4SnO12
1.0
7.8251 0.0000 0.0000
0.0000 3.7894 3.7765
0.0000 -3.7894 3.7765
Nd Ti Sn O
1 4 1 12
Cartesian
0.0000 0.0000 0.0000 Nd
1.9387 -1.8584 5.4470 Ti
1.9387 1.8584 5.4470 Ti
5.8864 -1.8584 5.4470 Ti
5.8864 1.8584 5.4470 Ti
3.9125 0.0000 3.3301 Sn
0.0000 -1.5514 5.4136 O
0.0000 1.5514 5.4136 O
1.6725 0.0000 1.8925 O
1.8695 -2.2881 3.5188 O
1.8695 2.2881 3.5188 O
2.5074 0.0000 4.8188 O
3.9125 -1.5084 1.9900 O
3.9125 1.5084 1.9900 O
5.3177 0.0000 4.8188 O
5.9556 -2.2881 3.5188 O
5.9556 2.2881 3.5188 O
6.1526 0.0000 1.8925 O
```

(2)
Diffraction record for SrNdO4. The XRD peak list is simulated, not measured: it uses a GGA-PBE-relaxed structure and Cu Kα, 1.54184 Å.
Peak positions follow from Bragg's law for the DFT cell and can differ from measured ones.

The 10 most intense peaks (10 to 90 degrees two-theta), sorted by position:
| Position (°2θ) | d/Å | Rel. int. |
| --- | --- | --- |
| 12.76 | 6.939 | 29 |
| 25.36 | 3.512 | 27 |
| 25.66 | 3.472 | 55 |
| 28.14 | 3.171 | 100 |
| 29.28 | 3.050 | 23 |
| 29.62 | 3.016 | 33 |
| 37.50 | 2.398 | 30 |
| 44.85 | 2.021 | 29 |
| 45.32 | 2.001 | 20 |
| 46.06 | 1.971 | 24 |

Structure:
```
SrNdO4
1.0
3.5288 -2.0011 0.0000
3.5288 2.0011 0.0000
-0.6859 0.0000 6.9391
Sr Nd O
1 1 4
Cartesian
0.0000 0.0000 0.0000 Sr
4.0543 0.0000 4.0143 Nd
1.4149 0.0000 2.3518 O
2.6313 0.0000 1.7319 O
4.0418 0.0000 6.2668 O
6.3766 0.0000 4.2818 O
```

(3)
Diffraction record for SrNd2TcO8. The XRD peak list is simulated, not measured: it uses a GGA-PBE-relaxed structure and Cu Kα, 1.54184 Å.
Peak positions follow from Bragg's law for the DFT cell and can differ from measured ones.

The 10 most intense peaks (10 to 90 degrees two-theta), sorted by position:
| Position (°2θ) | d/Å | Rel. int. |
| --- | --- | --- |
| 12.93 | 6.847 | 22 |
| 26.99 | 3.304 | 100 |
| 28.32 | 3.152 | 59 |
| 31.19 | 2.868 | 68 |
| 32.65 | 2.742 | 22 |
| 34.15 | 2.626 | 44 |
| 38.26 | 2.352 | 19 |
| 44.93 | 2.017 | 52 |
| 46.58 | 1.950 | 24 |
| 54.51 | 1.683 | 20 |

Structure:
```
SrNd2TcO8
1.0
4.4421 0.0000 0.0000
0.0046 5.2515 0.0000
2.0832 -0.0010 6.8470
Sr Nd Tc O
1 2 1 8
Cartesian
0.0000 0.0000 0.0000 Sr
2.2949 2.6273 1.9829 Nd
4.2349 2.6232 4.8640 Nd
1.0416 -0.0005 3.4235 Tc
2.1218 1.3582 4.1816 O
2.1339 3.9044 4.1858 O
1.0320 2.6256 0.0293 O
2.0550 5.2500 1.7612 O
4.4749 0.0005 5.0857 O
5.4979 2.6249 6.8177 O
4.3960 1.3461 2.6612 O
4.4080 3.8923 2.6654 O
```

(4)
Diffraction record for SrNdZrTiO6. The XRD peak list is simulated, not measured: it uses a GGA-PBE-relaxed structure and Cu Kα, 1.54184 Å.
Peak positions follow from Bragg's law for the DFT cell and can differ from measured ones.

The 10 most intense peaks (10 to 90 degrees two-theta), sorted by position:
| Position (°2θ) | d/Å | Rel. int. |
| --- | --- | --- |
| 18.93 | 4.689 | 9 |
| 31.15 | 2.871 | 100 |
| 36.70 | 2.449 | 6 |
| 38.40 | 2.344 | 12 |
| 44.63 | 2.030 | 34 |
| 55.43 | 1.658 | 39 |
| 64.96 | 1.436 | 20 |
| 73.80 | 1.284 | 17 |
| 78.06 | 1.224 | 3 |
| 82.25 | 1.172 | 7 |

Structure:
```
SrNdZrTiO6
1.0
0.0000 4.0604 4.0604
4.0604 0.0000 4.0604
4.0604 4.0604 0.0000
Sr Nd Zr Ti O
1 1 1 1 6
Cartesian
0.0000 0.0000 0.0000 Sr
4.0604 4.0604 4.0604 Nd
6.0906 6.0906 6.0906 Zr
2.0302 2.0302 2.0302 Ti
2.0302 2.0302 0.0556 O
2.0302 0.0556 2.0302 O
4.0049 2.0302 2.0302 O
0.0556 2.0302 2.0302 O
2.0302 4.0049 2.0302 O
2.0302 2.0302 4.0049 O
```